This entry pairs a crystal structure of KHgMoO4 with its theoretical X-ray diffraction stick pattern. Radiation: Cu Kα X-rays. Structure: a structure optimized by DFT (PBE+U).
Peak positions follow from Bragg's law for the DFT cell and can differ from measured ones.

Main lines, in order of rising 2θ (15° ≤ 2θ ≤ 90°):
Position (°2θ), I_rel
17.50, 100
19.71, 30
24.92, 69
25.84, 85
27.42, 46
27.89, 27
28.94, 40
38.46, 61
38.57, 35
53.33, 28

```
KHgMoO4
1.0
6.257 -3.574 0.000
6.257 3.574 0.000
-1.319 0.000 7.858
K Hg Mo O
2 2 2 8
Cartesian
2.088 0.000 2.764
9.108 0.000 5.094
4.965 0.000 0.012
6.231 0.000 7.846
0.722 0.000 6.110
10.474 0.000 1.748
-1.033 0.000 6.283
3.699 2.147 2.676
1.548 0.000 7.824
7.497 2.147 5.183
3.699 -2.147 2.676
9.648 0.000 0.034
7.497 -2.147 5.183
12.229 0.000 1.575
```